1.
Starting from DFT lattice parameters and positions (GGA-PBE), the X-ray powder pattern of PmTlCdPb was calculated for copper Kα.

Top 10 peaks for 5° ≤ 2θ ≤ 70°, sorted by position:
| hkl | 2θ/deg | intensity |
| --- | --- | --- |
| 1 1 1 | 32.5 | 100 |
| 0 0 2 | 36.1 | 19 |
| 0 2 0 | 37.8 | 17 |
| 2 0 0 | 39.0 | 15 |
| 0 2 2 | 53.3 | 12 |
| 2 0 2 | 54.2 | 12 |
| 1 1 3 | 62.7 | 15 |
| 1 3 1 | 64.9 | 14 |
| 3 1 1 | 66.6 | 13 |
| 2 2 2 | 68.0 | 12 |

Cell and atoms:
```
data_PmTlCdPb
_chemical_formula_sum 'Pm1 Tl1 Cd1 Pb1'
_cell_length_a 4.618
_cell_length_b 4.759
_cell_length_c 4.972
_cell_angle_alpha 90.00
_cell_angle_beta 90.00
_cell_angle_gamma 90.00
_symmetry_space_group_name_H-M 'P m m m'
_symmetry_Int_Tables_number 47
loop_
_symmetry_equiv_pos_as_xyz
'x,y,z'
'-x,-y,-z'
'-x,-y,z'
'x,y,-z'
'x,-y,-z'
'-x,y,z'
'-x,y,-z'
'x,-y,z'
loop_
_atom_site_label
_atom_site_type_symbol
_atom_site_fract_x
_atom_site_fract_y
_atom_site_fract_z
Pm1 Pm 0.000 0.000 0.000
Tl1 Tl 0.500 0.000 0.500
Cd1 Cd 0.000 0.500 0.500
Pb1 Pb 0.500 0.500 0.000
```



2.
Starting from DFT lattice parameters and positions (GGA-PBE), the X-ray powder pattern of CsKPt was calculated for copper Kα.

Top 10 peaks for 5° ≤ 2θ ≤ 70°, sorted by position:
| hkl | 2θ/deg | intensity |
| --- | --- | --- |
| 0 0 1 | 8.9 | 100 |
| 1 0 0 | 14.8 | 45 |
| 1 0 -1 | 15.6 | 55 |
| 0 1 2 | 25.5 | 16 |
| 1 0 2 | 25.6 | 17 |
| 0 0 3 | 26.9 | 20 |
| 2 0 -1 | 29.2 | 21 |
| 1 0 -4 | 36.1 | 19 |
| 0 2 0 | 36.5 | 30 |
| 2 1 1 | 37.9 | 18 |

Cell and atoms:
```
data_CsKPt
_chemical_formula_sum 'Cs2 K2 Pt2'
_cell_length_a 6.137
_cell_length_b 4.922
_cell_length_c 10.162
_cell_angle_alpha 90.00
_cell_angle_beta 102.32
_cell_angle_gamma 90.00
_symmetry_space_group_name_H-M 'P 1 21/m 1'
_symmetry_Int_Tables_number 11
loop_
_symmetry_equiv_pos_as_xyz
'x,y,z'
'-x,-y,-z'
'-x,y+1/2,-z'
'x,-y+1/2,z'
loop_
_atom_site_label
_atom_site_type_symbol
_atom_site_fract_x
_atom_site_fract_y
_atom_site_fract_z
Cs1 Cs 0.185 0.250 0.307
K1 K 0.374 0.250 0.870
Pt1 Pt 0.058 0.750 0.013
```